# 1
This entry pairs a crystal structure of Rb2AgSbS4 with its theoretical powder XRD pattern. Radiation: Cu Kα, 1.54184 Å. Structure: a DFT-relaxed cell (GGA-PBE, Alexandria).

Structural model:
```
data_Rb2AgSbS4
_cell_length_a 13.9819
_cell_length_b 12.5602
_cell_length_c 7.6244
_cell_angle_alpha 83.89
_cell_angle_beta 63.28
_cell_angle_gamma 32.83
_symmetry_space_group_name_H-M 'P 1'
_symmetry_Int_Tables_number 1
loop_
_symmetry_equiv_pos_as_xyz
'x,y,z'
loop_
_atom_site_label
_atom_site_type_symbol
_atom_site_fract_x
_atom_site_fract_y
_atom_site_fract_z
Rb1 Rb 0.0566 0.0566 0.6934
Rb2 Rb 0.3066 0.3066 0.9434
Rb3 Rb 0.6934 0.6934 0.0566
Rb4 Rb 0.9434 0.9434 0.3066
Ag1 Ag 0.1250 0.1250 0.1250
Ag2 Ag 0.8750 0.8750 0.8750
Sb1 Sb 0.3750 0.3750 0.3750
Sb2 Sb 0.6250 0.6250 0.6250
S1 S 0.0020 0.6415 0.5423
S2 S 0.3141 0.5423 0.6415
S3 S 0.3585 0.9980 0.6859
S4 S 0.4577 0.6859 0.9980
S5 S 0.5423 0.3141 0.0020
S6 S 0.6415 0.0020 0.3141
S7 S 0.6859 0.4577 0.3585
S8 S 0.9980 0.3585 0.4577
```

Principal peaks in the range 2θ from 15° to 90°, in order of rising 2θ:
- 2θ = 25.48°, rel. 1000
- 2θ = 25.74°, rel. 308
- 2θ = 26.24°, rel. 532
- 2θ = 30.15°, rel. 328
- 2θ = 30.84°, rel. 641
- 2θ = 34.27°, rel. 278
- 2θ = 35.81°, rel. 570
- 2θ = 44.62°, rel. 373
- 2θ = 45.22°, rel. 275
- 2θ = 47.00°, rel. 247
- 2θ = 48.68°, rel. 303
- 2θ = 55.35°, rel. 215

# 2
This entry pairs a crystal structure of RbSiAg2S4 with its theoretical powder XRD pattern. Radiation: Cu Kα, 1.54184 Å. Structure: a DFT-relaxed cell (GGA-PBE, Alexandria).

Structural model:
```
data_RbSiAg2S4
_cell_length_a 6.3165
_cell_length_b 6.3165
_cell_length_c 6.3165
_cell_angle_alpha 115.71
_cell_angle_beta 115.56
_cell_angle_gamma 97.74
_symmetry_space_group_name_H-M 'P 1'
_symmetry_Int_Tables_number 1
loop_
_symmetry_equiv_pos_as_xyz
'x,y,z'
loop_
_atom_site_label
_atom_site_type_symbol
_atom_site_fract_x
_atom_site_fract_y
_atom_site_fract_z
Rb1 Rb 0.0000 0.0000 0.0000
Si1 Si 0.5000 0.5000 0.0000
Ag1 Ag 0.2527 0.7527 0.5000
Ag2 Ag 0.7473 0.2473 0.5000
S1 S 0.1691 0.1691 0.6292
S2 S 0.4601 0.8309 0.0000
S3 S 0.5399 0.5399 0.3708
S4 S 0.8309 0.4601 0.0000
```

Principal peaks in the range 2θ from 15° to 90°, in order of rising 2θ:
- 2θ = 18.65°, rel. 81
- 2θ = 21.39°, rel. 85
- 2θ = 26.49°, rel. 294
- 2θ = 28.52°, rel. 1000
- 2θ = 31.62°, rel. 139
- 2θ = 37.82°, rel. 300
- 2θ = 48.04°, rel. 457
- 2θ = 51.72°, rel. 250
- 2θ = 59.03°, rel. 81
- 2θ = 61.65°, rel. 100
- 2θ = 62.71°, rel. 78
- 2θ = 78.49°, rel. 95

# 3
This entry pairs a crystal structure of Rb2TiAg2S4 with its theoretical powder XRD pattern. Radiation: Cu Kα, 1.54184 Å. Structure: a DFT-relaxed cell (GGA-PBE, Alexandria).

Structural model:
```
data_Rb2TiAg2S4
_cell_length_a 6.0238
_cell_length_b 6.0238
_cell_length_c 13.4724
_cell_angle_alpha 90.00
_cell_angle_beta 90.00
_cell_angle_gamma 90.00
_symmetry_space_group_name_H-M 'P 1'
_symmetry_Int_Tables_number 1
loop_
_symmetry_equiv_pos_as_xyz
'x,y,z'
loop_
_atom_site_label
_atom_site_type_symbol
_atom_site_fract_x
_atom_site_fract_y
_atom_site_fract_z
Rb1 Rb 0.2383 0.2383 0.0000
Rb2 Rb 0.2383 0.7617 0.5000
Rb3 Rb 0.7617 0.2383 0.5000
Rb4 Rb 0.7617 0.7617 0.0000
Ti1 Ti 0.5000 0.5000 0.2500
Ti2 Ti 0.5000 0.5000 0.7500
Ag1 Ag 0.0000 0.5000 0.2500
Ag2 Ag 0.0000 0.5000 0.7500
Ag3 Ag 0.5000 0.0000 0.2500
Ag4 Ag 0.5000 0.0000 0.7500
S1 S 0.2850 0.2850 0.3542
S2 S 0.2850 0.2850 0.6458
S3 S 0.2850 0.7150 0.1458
S4 S 0.2850 0.7150 0.8542
S5 S 0.7150 0.2850 0.1458
S6 S 0.7150 0.2850 0.8542
S7 S 0.7150 0.7150 0.3542
S8 S 0.7150 0.7150 0.6458
```

Principal peaks in the range 2θ from 15° to 90°, in order of rising 2θ:
- 2θ = 20.85°, rel. 256
- 2θ = 24.73°, rel. 370
- 2θ = 26.46°, rel. 271
- 2θ = 28.89°, rel. 687
- 2θ = 32.57°, rel. 1000
- 2θ = 33.93°, rel. 210
- 2θ = 40.17°, rel. 133
- 2θ = 42.44°, rel. 412
- 2θ = 50.71°, rel. 639
- 2θ = 52.16°, rel. 202
- 2θ = 71.41°, rel. 329
- 2θ = 83.74°, rel. 174

# 4
This entry pairs a crystal structure of Rb2AgSb2 with its theoretical powder XRD pattern. Radiation: Cu Kα, 1.54184 Å. Structure: a DFT-relaxed cell (GGA-PBE, Alexandria).

Structural model:
```
data_Rb2AgSb2
_cell_length_a 7.5480
_cell_length_b 7.5480
_cell_length_c 6.0716
_cell_angle_alpha 90.00
_cell_angle_beta 90.00
_cell_angle_gamma 90.00
_symmetry_space_group_name_H-M 'P 1'
_symmetry_Int_Tables_number 1
loop_
_symmetry_equiv_pos_as_xyz
'x,y,z'
loop_
_atom_site_label
_atom_site_type_symbol
_atom_site_fract_x
_atom_site_fract_y
_atom_site_fract_z
Rb1 Rb 0.1681 0.3319 0.0000
Rb2 Rb 0.3319 0.8319 0.0000
Rb3 Rb 0.6681 0.1681 0.0000
Rb4 Rb 0.8319 0.6681 0.0000
Ag1 Ag 0.0000 0.0000 0.5000
Ag2 Ag 0.5000 0.5000 0.5000
Sb1 Sb 0.1395 0.6395 0.5000
Sb2 Sb 0.3605 0.1395 0.5000
Sb3 Sb 0.6395 0.8605 0.5000
Sb4 Sb 0.8605 0.3605 0.5000
```

Principal peaks in the range 2θ from 15° to 90°, in order of rising 2θ:
- 2θ = 27.83°, rel. 161
- 2θ = 29.42°, rel. 386
- 2θ = 30.29°, rel. 1000
- 2θ = 33.58°, rel. 54
- 2θ = 37.69°, rel. 313
- 2θ = 40.61°, rel. 121
- 2θ = 48.52°, rel. 298
- 2θ = 52.19°, rel. 86
- 2θ = 52.74°, rel. 205
- 2θ = 68.73°, rel. 115
- 2θ = 74.01°, rel. 83
- 2θ = 83.99°, rel. 68

# 5
This entry pairs a crystal structure of Rb5AgSb2 with its theoretical powder XRD pattern. Radiation: Cu Kα, 1.54184 Å. Structure: a DFT-relaxed cell (GGA-PBE, Alexandria).

Structural model:
```
data_Rb5AgSb2
_cell_length_a 10.6797
_cell_length_b 10.6797
_cell_length_c 10.6797
_cell_angle_alpha 34.25
_cell_angle_beta 34.25
_cell_angle_gamma 34.25
_symmetry_space_group_name_H-M 'P 1'
_symmetry_Int_Tables_number 1
loop_
_symmetry_equiv_pos_as_xyz
'x,y,z'
loop_
_atom_site_label
_atom_site_type_symbol
_atom_site_fract_x
_atom_site_fract_y
_atom_site_fract_z
Rb1 Rb 0.0000 0.0000 0.0000
Rb2 Rb 0.1322 0.1322 0.1322
Rb3 Rb 0.2828 0.2828 0.2828
Rb4 Rb 0.7172 0.7172 0.7172
Rb5 Rb 0.8678 0.8678 0.8678
Ag1 Ag 0.5000 0.5000 0.5000
Sb1 Sb 0.4099 0.4099 0.4099
Sb2 Sb 0.5901 0.5901 0.5901
```

Principal peaks in the range 2θ from 15° to 90°, in order of rising 2θ:
- 2θ = 16.54°, rel. 130
- 2θ = 17.31°, rel. 87
- 2θ = 26.39°, rel. 421
- 2θ = 28.38°, rel. 1000
- 2θ = 28.82°, rel. 143
- 2θ = 34.00°, rel. 161
- 2θ = 39.14°, rel. 145
- 2θ = 45.31°, rel. 89
- 2θ = 49.05°, rel. 150
- 2θ = 50.25°, rel. 198
- 2θ = 58.71°, rel. 123
- 2θ = 80.86°, rel. 98

# 6
This entry pairs a crystal structure of Rb2Ag5Sb4 with its theoretical powder XRD pattern. Radiation: Cu Kα, 1.54184 Å. Structure: a DFT-relaxed cell (GGA-PBE, Alexandria).

Structural model:
```
data_Rb2Ag5Sb4
_cell_length_a 10.2628
_cell_length_b 8.4762
_cell_length_c 7.3970
_cell_angle_alpha 80.25
_cell_angle_beta 54.49
_cell_angle_gamma 45.26
_symmetry_space_group_name_H-M 'P 1'
_symmetry_Int_Tables_number 1
loop_
_symmetry_equiv_pos_as_xyz
'x,y,z'
loop_
_atom_site_label
_atom_site_type_symbol
_atom_site_fract_x
_atom_site_fract_y
_atom_site_fract_z
Rb1 Rb 0.1518 0.8482 0.1518
Rb2 Rb 0.8482 0.1518 0.8482
Ag1 Ag 0.0000 0.5000 0.0000
Ag2 Ag 0.2500 0.2500 0.2500
Ag3 Ag 0.5000 0.0000 0.5000
Ag4 Ag 0.5000 0.5000 0.5000
Ag5 Ag 0.7500 0.7500 0.7500
Sb1 Sb 0.2296 0.4796 0.5204
Sb2 Sb 0.4796 0.2296 0.7704
Sb3 Sb 0.5204 0.7704 0.2296
Sb4 Sb 0.7704 0.5204 0.4796
```

Principal peaks in the range 2θ from 15° to 90°, in order of rising 2θ:
- 2θ = 16.17°, rel. 608
- 2θ = 22.84°, rel. 507
- 2θ = 29.70°, rel. 541
- 2θ = 29.81°, rel. 1000
- 2θ = 35.46°, rel. 640
- 2θ = 35.86°, rel. 296
- 2θ = 38.72°, rel. 635
- 2θ = 40.49°, rel. 582
- 2θ = 44.15°, rel. 310
- 2θ = 44.49°, rel. 531
- 2θ = 46.42°, rel. 197
- 2θ = 49.92°, rel. 231

Question: What is the formula in the sixth record?
Answer: Rb2Ag5Sb4

Question: Which formula does entry 5 have?
Answer: Rb5AgSb2

What did the third record say?
This entry pairs a crystal structure of Rb2TiAg2S4 with its theoretical powder XRD pattern. Radiation: Cu Kα, 1.54184 Å. Structure: a DFT-relaxed cell (GGA-PBE, Alexandria).

Structural model:
```
data_Rb2TiAg2S4
_cell_length_a 6.0238
_cell_length_b 6.0238
_cell_length_c 13.4724
_cell_angle_alpha 90.00
_cell_angle_beta 90.00
_cell_angle_gamma 90.00
_symmetry_space_group_name_H-M 'P 1'
_symmetry_Int_Tables_number 1
loop_
_symmetry_equiv_pos_as_xyz
'x,y,z'
loop_
_atom_site_label
_atom_site_type_symbol
_atom_site_fract_x
_atom_site_fract_y
_atom_site_fract_z
Rb1 Rb 0.2383 0.2383 0.0000
Rb2 Rb 0.2383 0.7617 0.5000
Rb3 Rb 0.7617 0.2383 0.5000
Rb4 Rb 0.7617 0.7617 0.0000
Ti1 Ti 0.5000 0.5000 0.2500
Ti2 Ti 0.5000 0.5000 0.7500
Ag1 Ag 0.0000 0.5000 0.2500
Ag2 Ag 0.0000 0.5000 0.7500
Ag3 Ag 0.5000 0.0000 0.2500
Ag4 Ag 0.5000 0.0000 0.7500
S1 S 0.2850 0.2850 0.3542
S2 S 0.2850 0.2850 0.6458
S3 S 0.2850 0.7150 0.1458
S4 S 0.2850 0.7150 0.8542
S5 S 0.7150 0.2850 0.1458
S6 S 0.7150 0.2850 0.8542
S7 S 0.7150 0.7150 0.3542
S8 S 0.7150 0.7150 0.6458
```

Principal peaks in the range 2θ from 15° to 90°, in order of rising 2θ:
- 2θ = 20.85°, rel. 256
- 2θ = 24.73°, rel. 370
- 2θ = 26.46°, rel. 271
- 2θ = 28.89°, rel. 687
- 2θ = 32.57°, rel. 1000
- 2θ = 33.93°, rel. 210
- 2θ = 40.17°, rel. 133
- 2θ = 42.44°, rel. 412
- 2θ = 50.71°, rel. 639
- 2θ = 52.16°, rel. 202
- 2θ = 71.41°, rel. 329
- 2θ = 83.74°, rel. 174